The following is a calculated PXRD pattern of TbBi2WO8. It was derived from a crystal structure in Alexandria, relaxed with PBE+U, using λ = 1.5418 Å (Cu Kα).
Lines closer than 0.1° are merged.

Structure:
abc: 5.156 6.836 5.162
angles: 90.00 90.14 90.00
Atoms (fractional coordinates):
Tb1 0.000 0.000 0.000
Bi1 0.500 0.254 0.500
Bi2 0.500 0.746 0.500
W1 0.000 0.500 0.000
O1 0.180 0.284 0.178
O2 0.180 0.716 0.178
O3 0.267 0.500 0.732
O4 0.309 0.000 0.689
O5 0.691 0.000 0.311
O6 0.733 0.500 0.268
O7 0.820 0.284 0.822
O8 0.820 0.716 0.822

Principal peaks in the range 10° ≤ 2θ ≤ 90°, in order of rising 2θ:
Position (°2θ), I/Imax, h k l
24.40, 100, 1 0 1
31.39, 90, 1 2 0
34.78, 29, 0 0 2
47.55, 70, 2 2 1
49.94, 9, 2 0 -2
56.37, 14, 3 0 -1
59.76, 17, 1 4 1
60.24, 20, 0 2 3
65.52, 11, 0 4 2
81.55, 10, 3 4 -1